Ta: simulated powder diffractogram (copper Kα), based on a crystal structure in the Materials Project, relaxed with GGA-PBE.
Lines closer than 0.1° are merged.

The 6 most intense peaks (5° ≤ 2θ ≤ 70°), in order of falling intensity:
2theta	I/Imax	hkl
39.9	100	1 0 1
34.7	32	0 0 2
65.7	23	1 0 3
35.7	22	1 0 0
50.7	17	1 0 2
64.2	17	1 1 0

Atomic structure:
```
Ta
1.0
2.900 0.000 0.000
-1.450 2.512 0.000
0.000 0.000 5.166
Ta
2
Direct
0.333 0.667 0.250
0.667 0.333 0.750
```